Computed X-ray powder pattern of MgV2CuO6 for copper Kα, from the PBE+U geometry in the Materials Project.

Atomic structure:
a b c (Å): 3.7264 5.4736 6.2179
angles (deg): 78.10 84.30 74.69
Space group P1 (No. 1)
Inequivalent atoms, fractional coordinates:
Mg 0.0000 0.0000 0.0000 (multiplicity 1)
V 0.2686 0.4513 0.7692 (multiplicity 1)
V 0.6584 0.5430 0.1495 (multiplicity 1)
Cu 0.4535 0.9987 0.4611 (multiplicity 1)
O 0.1551 0.6057 0.0419 (multiplicity 1)
O 0.2187 0.7037 0.5520 (multiplicity 1)
O 0.3720 0.0998 0.7408 (multiplicity 1)
O 0.5223 0.9077 0.1719 (multiplicity 1)
O 0.7331 0.2696 0.3487 (multiplicity 1)
O 0.7696 0.3912 0.8829 (multiplicity 1)

Largest 6 diffraction maxima, in order of rising 2θ, 10 to 90 degrees two-theta:
two_theta	d [Å]	intensity	h k l
24.57	3.624	65	0 1 -1
24.80	3.590	35	1 0 0
28.26	3.158	100	1 0 1
31.20	2.867	82	0 1 2
32.43	2.760	48	1 1 -1
34.59	2.593	45	0 2 0


Computed X-ray powder pattern of MgV5CuO12 for copper Kα, from the PBE+U geometry in the Materials Project.

Atomic structure:
a b c (Å): 5.7036 6.9802 7.0028
angles (deg): 78.89 72.03 71.84
Space group P1 (No. 1)
Inequivalent atoms, fractional coordinates:
Mg 0.0000 0.0000 0.0000 (multiplicity 1)
V 0.0329 0.8584 0.5490 (multiplicity 1)
V 0.4717 0.6455 0.9319 (multiplicity 1)
V 0.5026 0.1822 0.8159 (multiplicity 1)
V 0.5334 0.0666 0.3534 (multiplicity 1)
V 0.9748 0.4507 0.1382 (multiplicity 1)
Cu 0.9992 0.3593 0.6381 (multiplicity 1)
O 0.0387 0.3268 0.3574 (multiplicity 1)
O 0.1236 0.2572 0.9514 (multiplicity 1)
O 0.1369 0.6690 0.0509 (multiplicity 1)
O 0.3647 0.8807 0.4278 (multiplicity 1)
O 0.4339 0.9010 0.8448 (multiplicity 1)
O 0.4358 0.2317 0.5363 (multiplicity 1)
O 0.5696 0.4627 0.7667 (multiplicity 1)
O 0.5762 0.1501 0.0964 (multiplicity 1)
O 0.6416 0.5702 0.1173 (multiplicity 1)
O 0.8668 0.9462 0.3334 (multiplicity 1)
O 0.8837 0.0496 0.7390 (multiplicity 1)
O 0.9723 0.6379 0.6726 (multiplicity 1)

Largest 6 diffraction maxima, in order of rising 2θ, 10 to 90 degrees two-theta:
two_theta	d [Å]	intensity	h k l
13.40	6.609	24	0 0 1
24.39	3.649	13	1 -1 0
27.81	3.209	100	1 0 2
28.89	3.090	48	0 2 1
34.34	2.612	41	2 0 0
52.41	1.746	24	3 0 2


Computed X-ray powder pattern of MgV4Cu3O12 for copper Kα, from the PBE+U geometry in the Materials Project.

Atomic structure:
a b c (Å): 6.3686 6.3744 6.3784
angles (deg): 109.01 109.59 109.73
Space group P-1 (No. 2)
Inequivalent atoms, fractional coordinates:
Mg 0.0000 0.0000 0.0000 (multiplicity 1)
V 0.0000 0.0000 0.5000 (multiplicity 1)
V 0.0000 0.5000 0.0000 (multiplicity 1)
V 0.5000 0.0000 0.0000 (multiplicity 1)
V 0.5000 0.5000 0.5000 (multiplicity 1)
Cu 0.0000 0.5000 0.5000 (multiplicity 1)
Cu 0.5000 0.0000 0.5000 (multiplicity 1)
Cu 0.5000 0.5000 0.0000 (multiplicity 1)
O 0.1235 0.8246 0.3041 (multiplicity 2)
O 0.1743 0.6992 0.8736 (multiplicity 2)
O 0.1778 0.2983 0.4764 (multiplicity 2)
O 0.2963 0.4761 0.1723 (multiplicity 2)
O 0.3026 0.1226 0.8288 (multiplicity 2)
O 0.4789 0.1803 0.3047 (multiplicity 2)

Largest 6 diffraction maxima, in order of rising 2θ, 10 to 90 degrees two-theta:
two_theta	d [Å]	intensity	h k l
34.40	2.607	100	0 0 2
34.56	2.596	49	2 0 0
49.22	1.851	15	-2 2 2
61.51	1.508	19	2 0 -4
61.78	1.502	25	2 -4 2
61.87	1.500	25	4 -2 0


Computed X-ray powder pattern of Mg6VCuO8 for copper Kα, from the PBE+U geometry in the Materials Project.

Atomic structure:
a b c (Å): 4.2348 4.2348 8.6420
angles (deg): 90.00 90.00 90.00
Space group P4/mmm (No. 123)
Inequivalent atoms, fractional coordinates:
Mg 0.0000 0.0000 0.0000 (multiplicity 1)
Mg 0.0000 0.5000 0.2481 (multiplicity 4)
Mg 0.5000 0.5000 0.0000 (multiplicity 1)
V 0.0000 0.0000 0.5000 (multiplicity 1)
Cu 0.5000 0.5000 0.5000 (multiplicity 1)
O 0.0000 0.0000 0.2510 (multiplicity 2)
O 0.0000 0.5000 0.0000 (multiplicity 2)
O 0.0000 0.5000 0.5000 (multiplicity 2)
O 0.5000 0.5000 0.2392 (multiplicity 2)

Largest 6 diffraction maxima, in order of rising 2θ, 10 to 90 degrees two-theta:
two_theta	d [Å]	intensity	h k l
10.24	8.642	41	0 0 1
36.51	2.461	40	1 1 2
41.81	2.160	53	0 0 4
42.70	2.117	100	2 0 0
61.30	1.512	58	2 0 4
61.98	1.497	30	2 2 0


Computed X-ray powder pattern of MgVCuO3 for copper Kα, from the PBE+U geometry in the Materials Project.

Atomic structure:
a b c (Å): 3.1313 5.4732 5.8213
angles (deg): 74.41 74.65 89.83
Space group P1 (No. 1)
Inequivalent atoms, fractional coordinates:
Mg 0.0000 0.0000 0.0000 (multiplicity 1)
V 0.5652 0.4879 0.8640 (multiplicity 1)
Cu 0.2903 0.2855 0.4144 (multiplicity 1)
O 0.1406 0.3663 0.7114 (multiplicity 1)
O 0.4311 0.1729 0.1383 (multiplicity 1)
O 0.5425 0.8034 0.9155 (multiplicity 1)

Largest 6 diffraction maxima, in order of rising 2θ, 10 to 90 degrees two-theta:
two_theta	d [Å]	intensity	h k l
16.86	5.258	88	0 1 0
26.77	3.330	52	0 1 -1
29.71	3.007	39	1 0 1
33.17	2.701	100	1 1 1
42.23	2.140	21	0 2 -1
55.40	1.658	23	1 2 3


Computed X-ray powder pattern of Mg14VCuO16 for copper Kα, from the PBE+U geometry in the Materials Project.

Atomic structure:
a b c (Å): 4.2390 8.5568 8.6128
angles (deg): 90.00 90.00 90.00
Space group Pmmm (No. 47)
Inequivalent atoms, fractional coordinates:
Mg 0.0000 0.0000 0.0000 (multiplicity 1)
Mg 0.0000 0.0000 0.5000 (multiplicity 1)
Mg 0.0000 0.2503 0.2462 (multiplicity 4)
Mg 0.5000 0.0000 0.2485 (multiplicity 2)
Mg 0.5000 0.2471 0.5000 (multiplicity 2)
Mg 0.5000 0.2518 0.0000 (multiplicity 2)
Mg 0.5000 0.5000 0.2425 (multiplicity 2)
V 0.0000 0.5000 0.5000 (multiplicity 1)
Cu 0.0000 0.5000 0.0000 (multiplicity 1)
O 0.0000 0.0000 0.2523 (multiplicity 2)
O 0.0000 0.2411 0.0000 (multiplicity 2)
O 0.0000 0.2488 0.5000 (multiplicity 2)
O 0.0000 0.5000 0.2642 (multiplicity 2)
O 0.5000 0.0000 0.0000 (multiplicity 1)
O 0.5000 0.0000 0.5000 (multiplicity 1)
O 0.5000 0.2516 0.2504 (multiplicity 4)
O 0.5000 0.5000 0.0000 (multiplicity 1)
O 0.5000 0.5000 0.5000 (multiplicity 1)

Largest 6 diffraction maxima, in order of rising 2θ, 10 to 90 degrees two-theta:
two_theta	d [Å]	intensity	h k l
41.96	2.153	100	0 0 4
42.25	2.139	98	0 4 0
42.66	2.119	96	2 0 0
61.06	1.518	56	0 4 4
61.38	1.510	55	2 0 4
61.60	1.506	55	2 4 0


Computed X-ray powder pattern of MgV4Cu3O12 for copper Kα, from the PBE+U geometry in the Materials Project.

Atomic structure:
a b c (Å): 6.3668 6.3685 6.3780
angles (deg): 109.65 109.43 109.25
Space group P-1 (No. 2)
Inequivalent atoms, fractional coordinates:
Mg 0.0000 0.0000 0.0000 (multiplicity 1)
V 0.0000 0.0000 0.5000 (multiplicity 1)
V 0.0000 0.5000 0.0000 (multiplicity 1)
V 0.5000 0.0000 0.0000 (multiplicity 1)
V 0.5000 0.5000 0.5000 (multiplicity 1)
Cu 0.0000 0.5000 0.5000 (multiplicity 1)
Cu 0.5000 0.0000 0.5000 (multiplicity 1)
Cu 0.5000 0.5000 0.0000 (multiplicity 1)
O 0.1239 0.2991 0.8182 (multiplicity 2)
O 0.1712 0.4727 0.2953 (multiplicity 2)
O 0.1720 0.8778 0.6935 (multiplicity 2)
O 0.2954 0.1717 0.4804 (multiplicity 2)
O 0.2971 0.8234 0.1232 (multiplicity 2)
O 0.4762 0.2929 0.1690 (multiplicity 2)

Largest 6 diffraction maxima, in order of rising 2θ, 10 to 90 degrees two-theta:
two_theta	d [Å]	intensity	h k l
34.45	2.603	100	0 0 2
34.55	2.596	19	2 -2 0
49.49	1.842	24	2 -2 2
49.66	1.836	12	-2 2 2
61.69	1.504	30	4 0 -2
61.79	1.501	20	2 -4 2


Computed X-ray powder pattern of Mg14VCuO16 for copper Kα, from the PBE+U geometry in the Materials Project.

Atomic structure:
a b c (Å): 8.6116 8.6116 4.2506
angles (deg): 90.00 90.00 90.00
Space group P4/mmm (No. 123)
Inequivalent atoms, fractional coordinates:
Mg 0.0000 0.2476 0.0000 (multiplicity 4)
Mg 0.0000 0.5000 0.5000 (multiplicity 2)
Mg 0.2453 0.5000 0.0000 (multiplicity 4)
Mg 0.2460 0.2460 0.5000 (multiplicity 4)
V 0.5000 0.5000 0.5000 (multiplicity 1)
Cu 0.0000 0.0000 0.5000 (multiplicity 1)
O 0.0000 0.0000 0.0000 (multiplicity 1)
O 0.0000 0.2606 0.5000 (multiplicity 4)
O 0.0000 0.5000 0.0000 (multiplicity 2)
O 0.2504 0.2504 0.0000 (multiplicity 4)
O 0.2514 0.5000 0.5000 (multiplicity 4)
O 0.5000 0.5000 0.0000 (multiplicity 1)

Largest 6 diffraction maxima, in order of rising 2θ, 10 to 90 degrees two-theta:
two_theta	d [Å]	intensity	h k l
36.29	2.475	27	2 2 1
41.97	2.153	100	4 0 0
42.54	2.125	48	0 0 2
60.85	1.522	28	4 4 0
61.29	1.512	55	4 0 2
77.06	1.238	25	4 4 2


Computed X-ray powder pattern of MgV3CuO8 for copper Kα, from the PBE+U geometry in the Materials Project.

Atomic structure:
a b c (Å): 11.9265 3.8987 7.0889
angles (deg): 90.00 105.64 90.00
Space group Cm (No. 8)
Inequivalent atoms, fractional coordinates:
Mg 0.0000 0.0000 0.0000 (multiplicity 2)
V 0.0423 0.5000 0.3574 (multiplicity 2)
V 0.2229 0.0000 0.2789 (multiplicity 2)
V 0.4192 0.0000 0.6878 (multiplicity 2)
Cu 0.1260 0.0000 0.6954 (multiplicity 2)
O 0.0549 0.0000 0.2992 (multiplicity 2)
O 0.0887 0.5000 0.6359 (multiplicity 2)
O 0.1823 0.0000 0.0301 (multiplicity 2)
O 0.1930 0.5000 0.3139 (multiplicity 2)
O 0.2665 0.0000 0.6075 (multiplicity 2)
O 0.3916 0.0000 0.3597 (multiplicity 2)
O 0.4617 0.0000 0.9670 (multiplicity 2)
O 0.4615 0.5000 0.7065 (multiplicity 2)

Largest 6 diffraction maxima, in order of rising 2θ, 10 to 90 degrees two-theta:
two_theta	d [Å]	intensity	h k l
12.97	6.826	70	0 0 1
15.43	5.742	83	2 0 0
24.11	3.692	100	1 1 0
30.34	2.946	48	4 0 -1
39.61	2.275	63	0 0 3
46.59	1.949	56	0 2 0